# Pr2Mg12Au7
Theoretical powder diffraction line list, Cu Ka. Input: DFT lattice parameters and positions (GGA-PBE).

The 12 most intense peaks (10° ≤ 2θ ≤ 90°), low angle first:
2θ 24.4, intensity 100.0
2θ 26.5, intensity 38.6
2θ 28.1, intensity 59.4
2θ 32.5, intensity 69.6
2θ 35.1, intensity 19.3
2θ 39.9, intensity 35.3
2θ 42.9, intensity 23.8
2θ 43.0, intensity 56.0
2θ 46.4, intensity 30.5
2θ 50.0, intensity 30.6
2θ 62.4, intensity 37.5
2θ 68.1, intensity 26.6

Lattice parameters (Å, degrees): 11.1289 11.1289 4.2178 90.00 90.00 120.00
Space group P-6 (No. 174)
Symmetry-distinct sites (fractional):
Pr 0.0000 0.0000 0.0000 x1
Pr 0.3333 0.6667 0.5000 x1
Mg 0.0529 0.7646 0.5000 x3
Mg 0.0992 0.3847 0.0000 x3
Mg 0.3882 0.2156 0.0000 x3
Mg 0.5369 0.1103 0.5000 x3
Au 0.0838 0.6202 0.0000 x3
Au 0.2460 0.0421 0.5000 x3
Au 0.6667 0.3333 0.0000 x1